The following is a theoretical powder XRD pattern of AlGa4W. It was derived from a crystal structure in Alexandria, relaxed with GGA-PBE, using a wavelength of 1.5418 Å.
Lines closer than 0.1° are merged.

The 10 most intense peaks (2θ = 10–90°), by angle:
2θ (°)  d_spacing  I (rel.)
16.37  5.416  58
19.70  4.507  80
25.71  3.465  61
29.64  3.014  32
38.79  2.321  30
40.01  2.254  100
41.62  2.170  92
46.03  1.972  67
50.30  1.814  26
70.55  1.335  36

Crystal structure
Lattice parameters (Å, degrees): 5.4163 5.7519 7.2556 90.00 90.00 90.00
Sites, in units of the cell vectors:
Al (0.0000, 0.0000, 0.0000)
Al (0.5000, 0.0000, 0.5000)
Ga (0.2466, 0.2685, 0.2427)
Ga (0.2466, 0.2685, 0.7573)
Ga (0.2466, 0.7315, 0.2427)
Ga (0.2466, 0.7315, 0.7573)
Ga (0.7534, 0.2685, 0.2427)
Ga (0.7534, 0.2685, 0.7573)
Ga (0.7534, 0.7315, 0.2427)
Ga (0.7534, 0.7315, 0.7573)
W (0.5000, 0.0000, 0.0000)
W (0.5000, 0.5000, 0.5000)

The following is a theoretical powder XRD pattern of Y6Al5Ga. It was derived from a crystal structure in Alexandria, relaxed with GGA-PBE, using a wavelength of 1.5418 Å.
Lines closer than 0.1° are merged.

The 10 most intense peaks (2θ = 10–90°), by angle:
2θ (°)  d_spacing  I (rel.)
24.60  3.619  10
24.74  3.598  20
35.19  2.550  100
35.29  2.543  20
43.48  2.081  9
50.75  1.799  14
63.05  1.474  14
63.25  1.470  28
74.36  1.276  8
85.27  1.138  12

Crystal structure
Lattice parameters (Å, degrees): 8.0488 8.0488 7.2373 90.00 90.00 143.16
Sites, in units of the cell vectors:
Y (0.0000, 0.0000, 0.2469)
Y (0.0000, 0.0000, 0.7531)
Y (0.3347, 0.6653, 0.2498)
Y (0.3347, 0.6653, 0.7502)
Y (0.6653, 0.3347, 0.2498)
Y (0.6653, 0.3347, 0.7502)
Al (0.1671, 0.8329, 0.5000)
Al (0.1691, 0.8309, 0.0000)
Al (0.5000, 0.5000, 0.5000)
Al (0.8309, 0.1691, 0.0000)
Al (0.8329, 0.1671, 0.5000)
Ga (0.5000, 0.5000, 0.0000)

The following is a theoretical powder XRD pattern of Y4Al7Ga6. It was derived from a crystal structure in Alexandria, relaxed with GGA-PBE, using a wavelength of 1.5418 Å.
Lines closer than 0.1° are merged.

The 10 most intense peaks (2θ = 10–90°), by angle:
2θ (°)  d_spacing  I (rel.)
25.03  3.557  19
28.98  3.081  27
32.49  2.756  22
35.69  2.515  100
41.45  2.178  53
44.09  2.054  21
60.06  1.540  25
68.05  1.378  13
71.87  1.314  21
81.10  1.186  11

Crystal structure
Lattice parameters (Å, degrees): 7.5464 7.5464 7.5464 109.47 109.47 109.47
Sites, in units of the cell vectors:
Y (0.0000, 0.0000, 0.5000)
Y (0.0000, 0.5000, 0.0000)
Y (0.5000, 0.0000, 0.0000)
Y (0.5000, 0.5000, 0.5000)
Al (0.0000, 0.0000, 0.0000)
Al (0.2500, 0.5000, 0.7500)
Al (0.2500, 0.7500, 0.5000)
Al (0.5000, 0.2500, 0.7500)
Al (0.5000, 0.7500, 0.2500)
Al (0.7500, 0.2500, 0.5000)
Al (0.7500, 0.5000, 0.2500)
Ga (0.0000, 0.3086, 0.3086)
Ga (0.0000, 0.6914, 0.6914)
Ga (0.3086, 0.0000, 0.3086)
Ga (0.3086, 0.3086, 0.0000)
Ga (0.6914, 0.0000, 0.6914)
Ga (0.6914, 0.6914, 0.0000)

The following is a theoretical powder XRD pattern of Y3Al6Ga5. It was derived from a crystal structure in Alexandria, relaxed with GGA-PBE, using a wavelength of 1.5418 Å.
Lines closer than 0.1° are merged.

The 10 most intense peaks (2θ = 10–90°), by angle:
2θ (°)  d_spacing  I (rel.)
29.75  3.003  25
33.20  2.699  10
34.17  2.624  13
34.39  2.608  28
34.89  2.572  100
42.20  2.141  26
42.93  2.107  29
50.53  1.806  11
61.78  1.502  15
73.46  1.289  11

Crystal structure
Lattice parameters (Å, degrees): 4.2137 12.8449 9.9605 90.00 90.00 90.00
Sites, in units of the cell vectors:
Y (0.2500, 0.0715, 0.2484)
Y (0.2500, 0.4285, 0.2484)
Y (0.2500, 0.7500, 0.2603)
Y (0.7500, 0.2500, 0.7397)
Y (0.7500, 0.5715, 0.7516)
Y (0.7500, 0.9285, 0.7516)
Al (0.2500, 0.0798, 0.6096)
Al (0.2500, 0.2500, 0.0215)
Al (0.2500, 0.2500, 0.4607)
Al (0.2500, 0.4202, 0.6096)
Al (0.2500, 0.6008, 0.9858)
Al (0.2500, 0.8992, 0.9858)
Al (0.7500, 0.1008, 0.0142)
Al (0.7500, 0.3992, 0.0142)
Al (0.7500, 0.5798, 0.3904)
Al (0.7500, 0.7500, 0.5393)
Al (0.7500, 0.7500, 0.9785)
Al (0.7500, 0.9202, 0.3904)
Ga (0.2500, 0.0859, 0.8636)
Ga (0.2500, 0.4141, 0.8636)
Ga (0.2500, 0.6163, 0.5329)
Ga (0.2500, 0.7500, 0.7807)
Ga (0.2500, 0.8837, 0.5329)
Ga (0.7500, 0.1163, 0.4671)
Ga (0.7500, 0.2500, 0.2193)
Ga (0.7500, 0.3837, 0.4671)
Ga (0.7500, 0.5859, 0.1364)
Ga (0.7500, 0.9141, 0.1364)

The following is a theoretical powder XRD pattern of YAlGa. It was derived from a crystal structure in Alexandria, relaxed with GGA-PBE, using a wavelength of 1.5418 Å.
Lines closer than 0.1° are merged.

The 10 most intense peaks (2θ = 10–90°), by angle:
2θ (°)  d_spacing  I (rel.)
24.26  3.668  22
32.47  2.757  71
32.97  2.717  63
34.43  2.605  55
34.88  2.572  100
35.43  2.533  34
38.97  2.311  66
40.13  2.247  21
42.10  2.146  50
64.74  1.440  23

Crystal structure
Lattice parameters (Å, degrees): 10.7001 4.2929 7.0642 90.00 129.75 90.00
Sites, in units of the cell vectors:
Y (0.0597, 0.0000, 0.3131)
Y (0.4403, 0.5000, 0.6869)
Y (0.5597, 0.5000, 0.3131)
Y (0.9403, 0.0000, 0.6869)
Al (0.1622, 0.5000, 0.1014)
Al (0.3378, 0.0000, 0.8986)
Al (0.6622, 0.0000, 0.1014)
Al (0.8378, 0.5000, 0.8986)
Ga (0.1626, 0.5000, 0.7084)
Ga (0.3374, 0.0000, 0.2916)
Ga (0.6626, 0.0000, 0.7084)
Ga (0.8374, 0.5000, 0.2916)

The following is a theoretical powder XRD pattern of AlZnGa3. It was derived from a crystal structure in Alexandria, relaxed with GGA-PBE, using a wavelength of 1.5418 Å.
Lines closer than 0.1° are merged.

The 10 most intense peaks (2θ = 10–90°), by angle:
2θ (°)  d_spacing  I (rel.)
29.68  3.010  61
33.11  2.706  68
35.18  2.551  57
36.34  2.472  72
36.47  2.464  74
37.39  2.405  77
37.57  2.394  69
37.86  2.376  49
39.99  2.255  78
40.44  2.230  100

Crystal structure
Lattice parameters (Å, degrees): 8.1215 8.1215 6.0209 90.24 90.24 72.50
Sites, in units of the cell vectors:
Al (0.2316, 0.2659, 0.0756)
Al (0.2659, 0.2316, 0.5756)
Al (0.7341, 0.7684, 0.4244)
Al (0.7684, 0.7341, 0.9244)
Zn (0.1682, 0.8318, 0.2500)
Zn (0.3330, 0.6670, 0.7500)
Zn (0.6670, 0.3330, 0.2500)
Zn (0.8318, 0.1682, 0.7500)
Ga (0.0029, 0.8218, 0.6291)
Ga (0.0282, 0.4830, 0.7677)
Ga (0.1782, 0.9971, 0.8709)
Ga (0.3190, 0.5020, 0.3693)
Ga (0.4830, 0.0282, 0.2677)
Ga (0.4980, 0.6810, 0.1307)
Ga (0.5020, 0.3190, 0.8693)
Ga (0.5170, 0.9718, 0.7323)
Ga (0.6810, 0.4980, 0.6307)
Ga (0.8218, 0.0029, 0.1291)
Ga (0.9718, 0.5170, 0.2323)
Ga (0.9971, 0.1782, 0.3709)

The following is a theoretical powder XRD pattern of Al5Zn2Ga. It was derived from a crystal structure in Alexandria, relaxed with GGA-PBE, using a wavelength of 1.5418 Å.
Lines closer than 0.1° are merged.

The 10 most intense peaks (2θ = 10–90°), by angle:
2θ (°)  d_spacing  I (rel.)
15.16  5.846  87
32.21  2.779  31
32.73  2.736  27
38.61  2.332  100
39.93  2.258  89
44.39  2.041  33
45.99  1.973  30
46.61  1.949  28
65.83  1.419  22
82.77  1.166  19

Crystal structure
Lattice parameters (Å, degrees): 3.9512 12.2450 6.0882 90.00 106.22 90.00
Sites, in units of the cell vectors:
Al (0.0779, 0.0895, 0.1623)
Al (0.0779, 0.4105, 0.1623)
Al (0.0840, 0.7500, 0.1756)
Al (0.4198, 0.0813, 0.8295)
Al (0.4198, 0.4187, 0.8295)
Al (0.5802, 0.5813, 0.1705)
Al (0.5802, 0.9187, 0.1705)
Al (0.9160, 0.2500, 0.8244)
Al (0.9221, 0.5895, 0.8377)
Al (0.9221, 0.9105, 0.8377)
Zn (0.2508, 0.5811, 0.5069)
Zn (0.2508, 0.9189, 0.5069)
Zn (0.7492, 0.0811, 0.4931)
Zn (0.7492, 0.4189, 0.4931)
Ga (0.2595, 0.2500, 0.4810)
Ga (0.7405, 0.7500, 0.5190)

The following is a theoretical powder XRD pattern of Al6Zn3Ga2. It was derived from a crystal structure in Alexandria, relaxed with GGA-PBE, using a wavelength of 1.5418 Å.
Lines closer than 0.1° are merged.

The 10 most intense peaks (2θ = 10–90°), by angle:
2θ (°)  d_spacing  I (rel.)
15.29  5.796  81
23.71  3.753  48
24.86  3.581  97
37.72  2.385  100
39.47  2.283  98
40.20  2.243  91
43.80  2.067  47
46.31  1.960  58
46.85  1.939  57
47.12  1.929  48

Crystal structure
Lattice parameters (Å, degrees): 7.8908 2.8732 8.5553 90.00 90.29 90.00
Sites, in units of the cell vectors:
Al (0.0467, 0.0000, 0.3470)
Al (0.3419, 0.0000, 0.0476)
Al (0.3428, 0.0000, 0.5928)
Al (0.6572, 0.0000, 0.4072)
Al (0.6581, 0.0000, 0.9524)
Al (0.9533, 0.0000, 0.6530)
Zn (0.0000, 0.0000, 0.0000)
Zn (0.1910, 0.5000, 0.8146)
Zn (0.8090, 0.5000, 0.1854)
Ga (0.3517, 0.5000, 0.3161)
Ga (0.6483, 0.5000, 0.6839)

The following is a theoretical powder XRD pattern of AlZnGa. It was derived from a crystal structure in Alexandria, relaxed with GGA-PBE, using a wavelength of 1.5418 Å.
Lines closer than 0.1° are merged.

The 10 most intense peaks (2θ = 10–90°), by angle:
2θ (°)  d_spacing  I (rel.)
18.92  4.690  14
36.77  2.445  8
38.33  2.348  100
38.77  2.323  32
44.46  2.038  22
44.80  2.023  42
64.69  1.441  13
65.21  1.431  13
77.74  1.228  8
78.32  1.221  11

Crystal structure
Lattice parameters (Å, degrees): 4.9477 8.6291 4.9953 90.00 110.14 90.00
Sites, in units of the cell vectors:
Al (0.0000, 0.0000, 0.0000)
Al (0.0000, 0.3353, 0.0000)
Al (0.5000, 0.5000, 0.0000)
Al (0.5000, 0.8353, 0.0000)
Zn (0.0000, 0.6736, 0.0000)
Zn (0.0000, 0.8329, 0.5000)
Zn (0.5000, 0.1736, 0.0000)
Zn (0.5000, 0.3329, 0.5000)
Ga (0.0000, 0.1660, 0.5000)
Ga (0.0000, 0.5001, 0.5000)
Ga (0.5000, 0.0001, 0.5000)
Ga (0.5000, 0.6660, 0.5000)

The following is a theoretical powder XRD pattern of AlZn3Ga7. It was derived from a crystal structure in Alexandria, relaxed with GGA-PBE, using a wavelength of 1.5418 Å.
Lines closer than 0.1° are merged.

The 10 most intense peaks (2θ = 10–90°), by angle:
2θ (°)  d_spacing  I (rel.)
29.56  3.022  30
34.61  2.592  100
36.39  2.469  94
39.12  2.303  16
39.44  2.285  35
41.61  2.170  86
42.07  2.148  77
51.10  1.788  58
69.38  1.354  29
80.96  1.187  16

Crystal structure
Lattice parameters (Å, degrees): 6.8762 6.8762 5.1844 111.58 111.58 91.79
Sites, in units of the cell vectors:
Al (0.0000, 0.0000, 0.0000)
Zn (0.2668, 0.7332, 0.5000)
Zn (0.5000, 0.5000, 0.0000)
Zn (0.7332, 0.2668, 0.5000)
Ga (0.0000, 0.0000, 0.5000)
Ga (0.0924, 0.5600, 0.8300)
Ga (0.3248, 0.3248, 0.4014)
Ga (0.4400, 0.9076, 0.1700)
Ga (0.5600, 0.0924, 0.8300)
Ga (0.6752, 0.6752, 0.5986)
Ga (0.9076, 0.4400, 0.1700)

The following is a theoretical powder XRD pattern of AlZnGa. It was derived from a crystal structure in Alexandria, relaxed with GGA-PBE, using a wavelength of 1.5418 Å.
Lines closer than 0.1° are merged.

The 10 most intense peaks (2θ = 10–90°), by angle:
2θ (°)  d_spacing  I (rel.)
20.64  4.303  16
24.34  3.658  22
38.31  2.349  100
38.49  2.339  99
44.52  2.035  64
44.86  2.020  32
65.04  1.434  50
77.72  1.229  23
78.06  1.224  23
78.33  1.221  11

Crystal structure
Lattice parameters (Å, degrees): 5.7758 4.0405 8.6065 90.00 90.00 90.00
Sites, in units of the cell vectors:
Al (0.1239, 0.2500, 0.2504)
Al (0.3761, 0.7500, 0.7504)
Al (0.6239, 0.2500, 0.2496)
Al (0.8761, 0.7500, 0.7496)
Zn (0.1229, 0.2500, 0.5809)
Zn (0.3771, 0.7500, 0.0809)
Zn (0.6229, 0.2500, 0.9191)
Zn (0.8771, 0.7500, 0.4191)
Ga (0.1283, 0.2500, 0.9139)
Ga (0.3717, 0.7500, 0.4139)
Ga (0.6283, 0.2500, 0.5861)
Ga (0.8717, 0.7500, 0.0861)

The following is a theoretical powder XRD pattern of Al3ZnGa. It was derived from a crystal structure in Alexandria, relaxed with GGA-PBE, using a wavelength of 1.5418 Å.
Lines closer than 0.1° are merged.

The 10 most intense peaks (2θ = 10–90°), by angle:
2θ (°)  d_spacing  I (rel.)
21.04  4.223  43
22.79  3.903  34
25.87  3.444  67
32.84  2.727  46
35.21  2.549  43
41.06  2.198  76
41.26  2.188  100
41.38  2.182  56
43.13  2.097  70
78.09  1.224  31

Crystal structure
Lattice parameters (Å, degrees): 8.9192 8.9192 5.1080 102.94 102.94 28.32
Sites, in units of the cell vectors:
Al (0.1192, 0.1192, 0.3278)
Al (0.2095, 0.2095, 0.8680)
Al (0.3783, 0.3783, 0.0174)
Al (0.6217, 0.6217, 0.9826)
Al (0.7905, 0.7905, 0.1320)
Al (0.8808, 0.8808, 0.6722)
Zn (0.3003, 0.3003, 0.4736)
Zn (0.6997, 0.6997, 0.5264)
Ga (0.0406, 0.0406, 0.7708)
Ga (0.9594, 0.9594, 0.2292)